No. 1
The following is a theoretical powder XRD pattern of MgFe6O10F2. It was derived from a cell relaxed with PBE+U, using copper Kα.
Neutral-atom scattering factors, no anomalous dispersion.

```
MgFe6O10F2
1.0
5.7554 0.0000 0.0000
-2.2203 5.4736 0.0000
-1.2662 -2.9466 6.9989
Mg Fe O F
1 6 10 2
Direct
0.0000 0.0000 0.0000 Mg
0.0277 0.4682 0.9512 Fe
0.3018 0.5911 0.3682 Fe
0.3585 0.0292 0.8073 Fe
0.6259 0.0535 0.1835 Fe
0.6726 0.4652 0.6082 Fe
0.9923 0.0345 0.5065 Fe
0.0303 0.6989 0.8110 O
0.0879 0.1793 0.7921 O
0.2254 0.8562 0.5338 O
0.2990 0.3403 0.4962 O
0.3415 0.7214 0.1585 O
0.3980 0.1666 0.0770 O
0.6556 0.3270 0.8116 O
0.6840 0.7082 0.4841 O
0.7655 0.2066 0.4542 O
0.9648 0.3242 0.1515 O
0.6000 0.8600 0.8826 F
0.8855 0.8746 0.2001 F
```

Largest 10 diffraction maxima, sorted by position, 2θ from 10° to 90°:
| 2θ (°) | Rel. int. |
| --- | --- |
| 23.2 | 100 |
| 27.4 | 92 |
| 32.7 | 19 |
| 35.3 | 27 |
| 35.4 | 27 |
| 35.6 | 54 |
| 38.6 | 20 |
| 49.6 | 20 |
| 56.5 | 18 |
| 63.2 | 18 |



No. 2
The following is a theoretical powder XRD pattern of Li9Mn2Co5O16. It was derived from a cell relaxed with PBE+U, using copper Kα.
Neutral-atom scattering factors, no anomalous dispersion.

```
Li9Mn2Co5O16
1.0
5.0022 0.0000 0.0000
0.0000 5.8641 0.0000
-1.8267 0.0000 9.6386
Li Mn Co O
9 2 5 16
Direct
0.0000 0.0000 0.0000 Li
0.2382 0.2474 0.2478 Li
0.2382 0.7526 0.2478 Li
0.2401 0.0000 0.7534 Li
0.2412 0.5000 0.7527 Li
0.7588 0.5000 0.2473 Li
0.7599 0.0000 0.2466 Li
0.7618 0.2474 0.7522 Li
0.7618 0.7526 0.7522 Li
0.5000 0.2465 0.0000 Mn
0.5000 0.7535 0.0000 Mn
0.0000 0.2495 0.5000 Co
0.0000 0.5000 0.0000 Co
0.0000 0.7505 0.5000 Co
0.5000 0.0000 0.5000 Co
0.5000 0.5000 0.5000 Co
0.1321 0.0000 0.3817 O
0.1370 0.5000 0.3837 O
0.1411 0.2645 0.8895 O
0.1411 0.7355 0.8895 O
0.3634 0.2532 0.6161 O
0.3634 0.7468 0.6161 O
0.3692 0.5000 0.1072 O
0.3999 0.0000 0.1116 O
0.6001 0.0000 0.8884 O
0.6308 0.5000 0.8928 O
0.6366 0.2532 0.3839 O
0.6366 0.7468 0.3839 O
0.8589 0.2645 0.1105 O
0.8589 0.7355 0.1105 O
0.8630 0.5000 0.6163 O
0.8679 0.0000 0.6183 O
```

Largest 10 diffraction maxima, sorted by position, 2θ from 10° to 90°:
| 2θ (°) | Rel. int. |
| --- | --- |
| 18.4 | 100 |
| 36.0 | 28 |
| 36.6 | 12 |
| 37.8 | 11 |
| 43.5 | 56 |
| 44.4 | 26 |
| 48.0 | 9 |
| 57.4 | 11 |
| 63.5 | 22 |
| 64.3 | 15 |



No. 3
The following is a theoretical powder XRD pattern of FeBO3. It was derived from a cell relaxed with PBE+U, using copper Kα.
Neutral-atom scattering factors, no anomalous dispersion.

```
FeBO3
1.0
2.3372 1.3494 4.8975
-2.3372 1.3494 4.8975
0.0000 -2.6987 4.8975
Fe B O
2 2 6
Direct
0.0000 0.0000 0.0000 Fe
0.5000 0.5000 0.5000 Fe
0.2500 0.2500 0.2500 B
0.7500 0.7500 0.7500 B
0.0467 0.7500 0.4533 O
0.2500 0.5467 0.9533 O
0.4533 0.0467 0.7500 O
0.5467 0.9533 0.2500 O
0.7500 0.4533 0.0467 O
0.9533 0.2500 0.5467 O
```

Largest 10 diffraction maxima, sorted by position, 2θ from 10° to 90°:
| 2θ (°) | Rel. int. |
| --- | --- |
| 25.1 | 67 |
| 32.9 | 100 |
| 38.5 | 22 |
| 42.9 | 25 |
| 46.5 | 25 |
| 54.3 | 42 |
| 54.9 | 20 |
| 62.0 | 16 |
| 66.2 | 15 |
| 69.7 | 17 |